# 1
Structure and simulated X-ray powder pattern of Li6Mn3SnP6O24 (DFT lattice parameters and positions (PBE+U); Cu Kα X-rays).
Peak positions follow from Bragg's law for the DFT cell and can differ from measured ones.

```
data_Li6Mn3SnP6O24
_symmetry_space_group_name_H-M 'P 1'
_symmetry_Int_Tables_number 1
_cell_length_a 8.5477
_cell_length_b 8.6373
_cell_length_c 8.7222
_cell_angle_alpha 61.50
_cell_angle_beta 61.99
_cell_angle_gamma 62.62
loop_
_symmetry_equiv_pos_as_xyz
'x,y,z'
loop_
_atom_site_label
_atom_site_type_symbol
_atom_site_fract_x
_atom_site_fract_y
_atom_site_fract_z
Li1 Li 0.0000 0.0000 0.0000
Li2 Li 0.0585 0.5094 0.9106
Li3 Li 0.3458 0.1474 0.7256
Li4 Li 0.5079 0.8603 0.1064
Li5 Li 0.6991 0.3133 0.4602
Li6 Li 0.8512 0.6546 0.2636
Mn1 Mn 0.2060 0.0100 0.6070
Mn2 Mn 0.6943 0.5020 0.1011
Mn3 Mn 0.9918 0.7945 0.3959
Sn1 Sn 0.4953 0.3054 0.8946
P1 P 0.0982 0.1890 0.2084
P2 P 0.2925 0.7119 0.0011
P3 P 0.3885 0.6148 0.5039
P4 P 0.5976 0.0947 0.3104
P5 P 0.8122 0.9095 0.7963
P6 P 0.9121 0.4114 0.6942
O1 O 0.0455 0.0322 0.2215
O2 O 0.0901 0.2455 0.6873
O3 O 0.0970 0.7281 0.1452
O4 O 0.1558 0.1382 0.3698
O5 O 0.2320 0.6460 0.4434
O6 O 0.2588 0.2182 0.0153
O7 O 0.2759 0.9027 0.8449
O8 O 0.3338 0.5484 0.9416
O9 O 0.3468 0.7613 0.5770
O10 O 0.4132 0.4136 0.6602
O11 O 0.4326 0.0746 0.4925
O12 O 0.4457 0.6824 0.0654
O13 O 0.5424 0.1407 0.1422
O14 O 0.5805 0.5975 0.3478
O15 O 0.6161 0.0669 0.8198
O16 O 0.6530 0.2500 0.2911
O17 O 0.7439 0.3545 0.7317
O18 O 0.7602 0.9124 0.3102
O19 O 0.7896 0.7501 0.9842
O20 O 0.8506 0.8667 0.6315
O21 O 0.8812 0.4696 0.8497
O22 O 0.9219 0.5692 0.5057
O23 O 0.9421 0.3776 0.1914
O24 O 0.9673 0.9723 0.7747
```

Most intense lines, 2θ from 5° to 70°, by intensity:
2θ = 23.53°, I 1000; 2θ = 19.93°, I 871; 2θ = 23.65°, I 718; 2θ = 20.39°, I 668; 2θ = 20.80°, I 665; 2θ = 24.06°, I 661; 2θ = 34.86°, I 653; 2θ = 20.59°, I 652; 2θ = 32.51°, I 527; 2θ = 32.95°, I 457; 2θ = 35.03°, I 449; 2θ = 20.01°, I 392



# 2
Structure and simulated X-ray powder pattern of LiTi4MnP6O24 (DFT lattice parameters and positions (PBE+U); Cu Kα X-rays).
Peak positions follow from Bragg's law for the DFT cell and can differ from measured ones.

```
data_LiTi4MnP6O24
_symmetry_space_group_name_H-M 'R -3'
_symmetry_Int_Tables_number 148
_symmetry_space_group_name_Hall '-R 3'
_cell_length_a 8.6575
_cell_length_b 8.6575
_cell_length_c 21.1389
_cell_angle_alpha 90.00
_cell_angle_beta 90.00
_cell_angle_gamma 120.00
loop_
_atom_site_label
_atom_site_type_symbol
_atom_site_fract_x
_atom_site_fract_y
_atom_site_fract_z
Li1 Li 0.0000 0.0000 0.0000
Ti1 Ti 0.0000 0.0000 0.1420
Ti2 Ti 0.0000 0.0000 0.3547
Mn1 Mn 0.0000 0.0000 0.5000
P1 P 0.0005 0.2923 0.7508
O1 O 0.0011 0.1916 0.6905
O2 O 0.0031 0.8130 0.1900
O3 O 0.0214 0.8341 0.9192
O4 O 0.0227 0.1867 0.4213
```

Most intense lines, 2θ from 5° to 70°, by intensity:
2θ = 24.13°, I 1000; 2θ = 20.53°, I 512; 2θ = 32.77°, I 399; 2θ = 56.25°, I 236; 2θ = 35.94°, I 214; 2θ = 47.02°, I 182; 2θ = 31.87°, I 181; 2θ = 49.41°, I 174; 2θ = 29.21°, I 137; 2θ = 12.54°, I 112; 2θ = 62.60°, I 88; 2θ = 57.88°, I 78